# 1
For MgZrP2H8O12, a cell relaxed with GGA-PBE gives the simulated XRD peak list in this record (Cu Kα).
Neutral-atom scattering factors, no anomalous dispersion.

Cell and atoms:
```
48
Lattice="5.094 0.000 0.000 -0.139 9.132 0.000 -0.156 -1.091 9.458" Properties=species:S:1:pos:R:3 pbc="T T T"
Mg 0.000 0.000 0.000
Mg 2.477 4.566 0.000
Zr 1.053 6.316 4.814
Zr 3.745 1.725 4.643
P 1.144 0.075 2.993
P 1.209 3.300 6.446
P 3.590 4.740 3.011
P 3.655 7.965 6.464
H 0.190 5.296 1.194
H 0.193 6.123 7.848
H 0.717 5.715 9.312
H 0.962 0.524 7.572
H 1.482 5.953 1.895
H 1.654 2.178 0.435
H 2.115 2.768 1.839
H 2.105 -0.380 8.225
H 2.694 8.420 1.232
H 2.684 5.272 7.618
H 3.144 5.862 9.023
H 3.317 2.087 7.562
H 3.837 7.517 1.885
H 4.082 2.325 0.146
H 4.606 1.918 1.610
H 4.609 2.745 8.264
O -0.075 2.958 5.683
O 0.135 1.218 3.274
O 0.454 7.872 3.552
O 0.644 6.459 8.649
O 0.959 3.247 7.956
O 1.097 5.722 1.013
O 1.229 0.095 8.409
O 1.380 -0.062 1.490
O 1.638 2.983 1.008
O 1.692 4.721 6.041
O 2.295 2.243 6.096
O 2.471 0.435 3.683
O 2.327 7.605 5.775
O 2.504 5.797 3.362
O 3.107 3.319 3.416
O 3.161 5.057 8.450
O 3.419 8.103 7.968
O 3.570 7.945 1.049
O 3.702 2.318 8.444
O 3.840 4.793 1.502
O 4.155 1.582 0.809
O 4.345 0.169 5.905
O 4.664 6.822 6.184
O 4.874 5.082 3.774
```

Largest 6 diffraction maxima, low angle first, 10° ≤ 2θ ≤ 90°:
- 2θ 20.73, I 78.8
- 2θ 22.33, I 100.0
- 2θ 22.86, I 58.6
- 2θ 25.61, I 55.4
- 2θ 28.65, I 63.6
- 2θ 34.73, I 53.3

***

# 2
For MgHPd3, a cell relaxed with GGA-PBE gives the simulated XRD peak list in this record (Cu Kα).
Neutral-atom scattering factors, no anomalous dispersion.

Cell and atoms:
```
10
Lattice="-2.830 3.998 2.833 2.830 -3.998 2.833 2.830 3.998 -2.833" Properties=species:S:1:pos:R:3 pbc="T T T"
Mg 0.000 1.999 0.002
Mg 2.830 1.999 2.830
H 2.830 0.000 0.000
H 0.000 0.000 2.833
Pd 1.415 3.971 -1.416
Pd 1.415 -0.026 1.416
Pd 2.830 1.999 0.036
Pd 0.000 1.999 2.797
Pd -1.415 4.024 1.416
Pd 1.415 4.024 1.416
```

Largest 6 diffraction maxima, low angle first, 10° ≤ 2θ ≤ 90°:
- 2θ 22.21, I 19.1
- 2θ 31.62, I 14.4
- 2θ 38.98, I 100.0
- 2θ 45.32, I 49.1
- 2θ 66.02, I 30.9
- 2θ 79.37, I 24.0

***

# 3
For PrMg2H6, a cell relaxed with GGA-PBE gives the simulated XRD peak list in this record (Cu Kα).
Neutral-atom scattering factors, no anomalous dispersion.

Cell and atoms:
```
9
Lattice="3.667 0.000 0.000 0.000 3.667 0.000 0.000 0.000 7.990" Properties=species:S:1:pos:R:3 pbc="T T T"
Pr 0.000 0.000 0.000
Mg 1.833 1.833 2.231
Mg 1.833 1.833 5.760
H 0.000 1.833 1.602
H 0.000 1.833 6.388
H 1.833 0.000 1.602
H 1.833 0.000 6.388
H 1.833 1.833 0.000
H 1.833 1.833 3.995
```

Largest 6 diffraction maxima, low angle first, 10° ≤ 2θ ≤ 90°:
- 2θ 11.07, I 100.0
- 2θ 26.75, I 66.8
- 2θ 33.16, I 58.3
- 2θ 34.60, I 27.0
- 2θ 36.43, I 22.1
- 2θ 61.09, I 20.0